Calculated powder XRD pattern of NaPuCrN3 for copper Kα, from DFT lattice parameters and positions (GGA-PBE).

Atomic structure:
```
NaPuCrN3
1.0
6.400 -1.843 0.000
6.400 1.843 0.000
-1.573 0.000 6.458
Na Pu Cr N
2 2 2 6
direct
0.157 0.157 0.078
0.843 0.843 0.922
0.148 0.148 0.576
0.852 0.852 0.424
0.500 0.500 0.235
0.500 0.500 0.765
0.010 0.010 0.282
0.329 0.329 0.623
0.356 0.356 0.208
0.644 0.644 0.792
0.671 0.671 0.377
0.990 0.990 0.718
```

The 10 most intense peaks (5 to 70 degrees two-theta), by angle:
13.71°, intensity 100
22.07°, intensity 22
27.95°, intensity 42
28.75°, intensity 36
32.50°, intensity 48
34.18°, intensity 27
35.01°, intensity 24
36.41°, intensity 56
55.31°, intensity 18
57.58°, intensity 19